# 1
# LaTb6Th4
Calculated powder X-ray diffraction pattern, Cu Kα (weighted mean of Kα1 and Kα2). Input: the PBE geometry in Alexandria.
Intensities are scaled so that the largest is 100.

Structure:
```
11
Lattice="-1.728 2.953 17.925 1.728 -2.953 17.925 1.728 2.953 -17.925" Properties=species:S:1:pos:R:3 pbc="T T T"
La 0.000 0.000 0.000
Tb 1.728 0.000 3.488
Tb 1.728 0.000 9.585
Tb 1.728 0.000 13.202
Tb 0.000 2.953 4.723
Tb 0.000 2.953 8.340
Tb 0.000 2.953 14.437
Th 0.000 0.000 6.554
Th 0.000 0.000 16.321
Th 0.000 0.000 19.528
Th 0.000 0.000 29.295
```

The 10 most intense peaks (15° ≤ 2θ ≤ 90°), most intense first:
31.35 deg, rel. 100; 30.27 deg, rel. 59; 36.17 deg, rel. 48; 33.58 deg, rel. 37; 62.88 deg, rel. 35; 26.85 deg, rel. 30; 54.46 deg, rel. 21; 40.90 deg, rel. 20; 28.67 deg, rel. 20; 31.61 deg, rel. 16

---

# 2
# Ac3SmTl4Se8
Calculated powder X-ray diffraction pattern, Cu Kα (weighted mean of Kα1 and Kα2). Input: the PBE geometry in Alexandria.
Intensities are scaled so that the largest is 100.

Structure:
```
16
Lattice="4.500 2.598 7.722 -4.500 2.598 7.722 0.000 -5.197 7.722" Properties=species:S:1:pos:R:3 pbc="T T T"
Ac -2.250 -1.299 7.722
Ac -2.250 1.299 15.444
Ac 0.000 2.598 7.722
Sm 0.000 0.000 0.000
Tl -4.500 0.000 11.583
Tl -2.250 1.299 3.861
Tl 2.250 1.299 3.861
Tl 0.000 0.000 11.583
Se 0.000 -2.699 9.371
Se -2.337 1.349 9.371
Se -2.337 -1.349 13.795
Se 0.000 0.000 6.024
Se 0.000 0.000 17.142
Se 2.337 1.349 9.371
Se 2.337 -1.349 13.795
Se 0.000 2.699 13.795
```

The 10 most intense peaks (15° ≤ 2θ ≤ 90°), most intense first:
27.59 deg, rel. 100; 38.74 deg, rel. 38; 40.07 deg, rel. 38; 24.09 deg, rel. 26; 49.34 deg, rel. 20; 65.37 deg, rel. 18; 63.49 deg, rel. 16; 56.96 deg, rel. 12; 71.91 deg, rel. 12; 46.72 deg, rel. 11

---

# 3
# LaMg2Ga6
Calculated powder X-ray diffraction pattern, Cu Kα (weighted mean of Kα1 and Kα2). Input: the PBE geometry in Alexandria.
Intensities are scaled so that the largest is 100.

Structure:
```
9
Lattice="-2.112 3.628 6.182 2.112 -3.628 6.182 2.112 3.628 -6.182" Properties=species:S:1:pos:R:3 pbc="T T T"
La 0.000 0.000 0.000
Mg 2.112 0.000 4.740
Mg 0.000 3.628 1.443
Ga 2.112 -1.384 2.388
Ga 2.112 2.350 0.000
Ga 2.112 1.384 2.388
Ga 0.000 2.244 3.795
Ga 0.000 1.278 6.182
Ga 0.000 5.011 3.795
```

The 10 most intense peaks (15° ≤ 2θ ≤ 90°), most intense first:
28.39 deg, rel. 100; 33.35 deg, rel. 97; 43.38 deg, rel. 60; 49.56 deg, rel. 42; 42.82 deg, rel. 42; 62.59 deg, rel. 39; 38.15 deg, rel. 33; 28.53 deg, rel. 30; 30.30 deg, rel. 26; 42.35 deg, rel. 25

---

# 4
# Co3TcIr12
Calculated powder X-ray diffraction pattern, Cu Kα (weighted mean of Kα1 and Kα2). Input: the PBE geometry in Alexandria.
Intensities are scaled so that the largest is 100.

Structure:
```
16
Lattice="3.814 0.000 0.000 0.000 3.814 0.000 0.000 0.000 15.304" Properties=species:S:1:pos:R:3 pbc="T T T"
Co 0.000 0.000 0.000
Co 0.000 0.000 3.720
Co 0.000 0.000 11.584
Tc 0.000 0.000 7.652
Ir 0.000 1.907 1.897
Ir 0.000 1.907 5.723
Ir 0.000 1.907 9.582
Ir 0.000 1.907 13.407
Ir 1.907 0.000 1.897
Ir 1.907 0.000 5.723
Ir 1.907 0.000 9.582
Ir 1.907 0.000 13.407
Ir 1.907 1.907 0.000
Ir 1.907 1.907 3.810
Ir 1.907 1.907 7.652
Ir 1.907 1.907 11.494
```

The 10 most intense peaks (15° ≤ 2θ ≤ 90°), most intense first:
40.94 deg, rel. 100; 47.69 deg, rel. 32; 84.16 deg, rel. 26; 69.61 deg, rel. 21; 47.53 deg, rel. 16; 83.93 deg, rel. 13; 88.76 deg, rel. 11; 23.30 deg, rel. 11; 69.73 deg, rel. 10; 33.18 deg, rel. 9

---

# 5
# RbAg2Pb2
Calculated powder X-ray diffraction pattern, Cu Kα (weighted mean of Kα1 and Kα2). Input: the PBE geometry in Alexandria.
Intensities are scaled so that the largest is 100.

Structure:
```
10
Lattice="5.013 0.000 0.000 0.000 5.013 0.000 0.000 0.000 12.404" Properties=species:S:1:pos:R:3 pbc="T T T"
Rb 0.000 0.000 0.000
Rb 2.506 2.506 6.202
Ag 0.000 0.000 4.761
Ag 0.000 0.000 7.642
Ag 2.506 2.506 1.440
Ag 2.506 2.506 10.963
Pb 0.000 2.506 3.101
Pb 0.000 2.506 9.303
Pb 2.506 0.000 3.101
Pb 2.506 0.000 9.303
```

The 10 most intense peaks (15° ≤ 2θ ≤ 90°), most intense first:
29.01 deg, rel. 100; 35.83 deg, rel. 55; 38.58 deg, rel. 51; 60.26 deg, rel. 26; 66.21 deg, rel. 21; 51.57 deg, rel. 19; 27.97 deg, rel. 19; 71.57 deg, rel. 16; 38.75 deg, rel. 15; 51.15 deg, rel. 14

---

# 6
# Ag5SnAu4
Calculated powder X-ray diffraction pattern, Cu Kα (weighted mean of Kα1 and Kα2). Input: the PBE geometry in Alexandria.
Intensities are scaled so that the largest is 100.

Structure:
```
10
Lattice="7.727 -1.488 0.000 7.727 1.488 0.000 -2.394 0.000 8.089" Properties=species:S:1:pos:R:3 pbc="T T T"
Ag 0.000 0.000 0.000
Ag 2.867 0.000 0.826
Ag 4.455 0.000 5.699
Ag 8.605 0.000 2.390
Ag 10.192 0.000 7.263
Sn -1.197 0.000 4.045
Au 1.670 0.000 4.859
Au 5.717 0.000 1.529
Au 7.342 0.000 6.560
Au 11.389 0.000 3.230
```

The 10 most intense peaks (15° ≤ 2θ ≤ 90°), most intense first:
36.97 deg, rel. 100; 43.08 deg, rel. 65; 36.87 deg, rel. 50; 37.28 deg, rel. 49; 42.88 deg, rel. 32; 62.69 deg, rel. 31; 74.71 deg, rel. 25; 62.13 deg, rel. 22; 18.39 deg, rel. 13; 75.01 deg, rel. 13

---

# 7
# InRhCl
Calculated powder X-ray diffraction pattern, Cu Kα (weighted mean of Kα1 and Kα2). Input: the PBE geometry in Alexandria.
Intensities are scaled so that the largest is 100.

Structure:
```
3
Lattice="3.771 0.000 0.000 0.000 4.757 0.000 0.000 0.000 3.809" Properties=species:S:1:pos:R:3 pbc="T T T"
In 0.000 0.000 0.000
Rh 1.886 0.000 1.922
Cl 1.886 2.379 1.506
```

The 10 most intense peaks (15° ≤ 2θ ≤ 90°), most intense first:
18.65 deg, rel. 100; 33.44 deg, rel. 86; 38.56 deg, rel. 71; 51.36 deg, rel. 49; 37.82 deg, rel. 32; 82.70 deg, rel. 21; 51.71 deg, rel. 18; 48.27 deg, rel. 16; 62.90 deg, rel. 14; 52.18 deg, rel. 13

---

# 8
# La2Ce2ZnGe4
Calculated powder X-ray diffraction pattern, Cu Kα (weighted mean of Kα1 and Kα2). Input: the PBE geometry in Alexandria.
Intensities are scaled so that the largest is 100.

Structure:
```
9
Lattice="-3.583 3.583 4.348 3.583 -3.583 4.348 3.583 3.583 -4.348" Properties=species:S:1:pos:R:3 pbc="T T T"
La 3.583 0.000 2.174
La 0.000 3.583 2.174
Ce 0.000 0.000 1.509
Ce 0.000 0.000 7.187
Zn 0.000 0.000 4.348
Ge 1.849 1.849 0.000
Ge 1.735 -1.735 4.348
Ge -1.735 1.735 4.348
Ge 1.735 1.735 4.348
```

The 10 most intense peaks (15° ≤ 2θ ≤ 90°), most intense first:
32.38 deg, rel. 100; 35.43 deg, rel. 76; 61.69 deg, rel. 30; 33.34 deg, rel. 28; 50.97 deg, rel. 27; 42.03 deg, rel. 25; 24.85 deg, rel. 23; 56.10 deg, rel. 14; 55.71 deg, rel. 14; 78.30 deg, rel. 13

---

# 9
# DyHo5Pd6
Calculated powder X-ray diffraction pattern, Cu Kα (weighted mean of Kα1 and Kα2). Input: the PBE geometry in Alexandria.
Intensities are scaled so that the largest is 100.

Structure:
```
12
Lattice="2.501 -7.471 0.000 2.501 7.471 0.000 0.000 0.000 6.852" Properties=species:S:1:pos:R:3 pbc="T T T"
Dy 0.000 0.000 0.000
Ho 0.000 0.000 3.426
Ho 2.501 2.491 0.000
Ho 2.501 2.489 3.426
Ho 2.501 -2.491 0.000
Ho 2.501 -2.489 3.426
Pd 2.501 4.970 1.715
Pd 2.501 4.970 5.138
Pd 2.501 0.000 1.722
Pd 2.501 0.000 5.130
Pd 2.501 -4.970 1.715
Pd 2.501 -4.970 5.138
```

The 10 most intense peaks (15° ≤ 2θ ≤ 90°), most intense first:
36.55 deg, rel. 100; 35.91 deg, rel. 26; 36.07 deg, rel. 26; 64.96 deg, rel. 18; 51.81 deg, rel. 18; 65.17 deg, rel. 18; 77.69 deg, rel. 11; 66.11 deg, rel. 9; 66.22 deg, rel. 9; 53.49 deg, rel. 8

---

# 10
# CaGa2CuSi
Calculated powder X-ray diffraction pattern, Cu Kα (weighted mean of Kα1 and Kα2). Input: the PBE geometry in Alexandria.
Intensities are scaled so that the largest is 100.

Structure:
```
10
Lattice="4.100 0.000 0.000 0.000 4.164 0.000 0.000 0.000 10.627" Properties=species:S:1:pos:R:3 pbc="T T T"
Ca 0.000 0.000 0.000
Ca 2.050 2.082 5.313
Ga 0.000 0.000 4.075
Ga 0.000 2.082 2.635
Ga 2.050 0.000 7.948
Ga 2.050 2.082 9.388
Cu 0.000 2.082 7.838
Cu 2.050 0.000 2.524
Si 0.000 0.000 6.510
Si 2.050 2.082 1.196
```

The 10 most intense peaks (15° ≤ 2θ ≤ 90°), most intense first:
35.05 deg, rel. 100; 46.18 deg, rel. 42; 16.69 deg, rel. 30; 43.46 deg, rel. 26; 44.18 deg, rel. 25; 33.43 deg, rel. 19; 63.70 deg, rel. 16; 33.20 deg, rel. 13; 48.06 deg, rel. 12; 74.33 deg, rel. 11

---

Repeat the fourth record exactly.
# Co3TcIr12
Calculated powder X-ray diffraction pattern, Cu Kα (weighted mean of Kα1 and Kα2). Input: the PBE geometry in Alexandria.
Intensities are scaled so that the largest is 100.

Structure:
```
16
Lattice="3.814 0.000 0.000 0.000 3.814 0.000 0.000 0.000 15.304" Properties=species:S:1:pos:R:3 pbc="T T T"
Co 0.000 0.000 0.000
Co 0.000 0.000 3.720
Co 0.000 0.000 11.584
Tc 0.000 0.000 7.652
Ir 0.000 1.907 1.897
Ir 0.000 1.907 5.723
Ir 0.000 1.907 9.582
Ir 0.000 1.907 13.407
Ir 1.907 0.000 1.897
Ir 1.907 0.000 5.723
Ir 1.907 0.000 9.582
Ir 1.907 0.000 13.407
Ir 1.907 1.907 0.000
Ir 1.907 1.907 3.810
Ir 1.907 1.907 7.652
Ir 1.907 1.907 11.494
```

The 10 most intense peaks (15° ≤ 2θ ≤ 90°), most intense first:
40.94 deg, rel. 100; 47.69 deg, rel. 32; 84.16 deg, rel. 26; 69.61 deg, rel. 21; 47.53 deg, rel. 16; 83.93 deg, rel. 13; 88.76 deg, rel. 11; 23.30 deg, rel. 11; 69.73 deg, rel. 10; 33.18 deg, rel. 9